La2Mo: theoretical PXRD pattern (λ = 1.5418 Å (Cu Kα)), based on a GGA-PBE-relaxed structure.
Neutral-atom scattering factors, no anomalous dispersion.

Principal peaks in the range 2θ = 10–80°, in order of rising 2θ:
d [Å]  intensity
6.809  100
4.169  11
3.404  34
2.706  32
2.085  24
1.993  26
1.778  16
1.651  14
1.294  9
1.204  8

Unit cell a=8.339 b=8.339 c=8.339 alpha=60.00 beta=60.00 gamma=60.00
Fractional positions:
La1 0.000 0.000 0.000
La2 0.000 0.000 0.500
La3 0.000 0.500 0.000
La4 0.500 0.000 0.000
Mo1 0.125 0.125 0.125
Mo2 0.875 0.875 0.875